Structure and calculated powder diffractogram of Li2MnO2 (a structure optimized by DFT (GGA+U); Cu Kα).
Neutral-atom scattering factors, no anomalous dispersion.

The 10 most intense peaks (2θ = 10–90°), sorted by position:
17.67 deg, I = 30.2, hkl 2 0 0; 26.05 deg, I = 100.0, hkl 0 0 2; 30.55 deg, I = 12.9, hkl 1 1 0; 39.93 deg, I = 44.0, hkl 3 1 0; 42.61 deg, I = 26.0, hkl 3 1 -2; 50.16 deg, I = 12.1, hkl 2 0 -4; 53.54 deg, I = 36.9, hkl 3 1 2; 65.95 deg, I = 15.7, hkl 1 1 4; 67.03 deg, I = 9.9, hkl 0 2 2; 70.60 deg, I = 7.2, hkl 6 0 2

Structure:
```
data_Li2MnO2
_chemical_formula_sum 'Li8 Mn4 O8'
_symmetry_space_group_name_H-M 'C 1 2/m 1'
_symmetry_Int_Tables_number 12
_symmetry_space_group_name_Hall '-C 2y'
_cell_length_a 10.6773
_cell_length_b 3.0591
_cell_length_c 7.2753
_cell_angle_alpha 90.00
_cell_angle_beta 109.93
_cell_angle_gamma 90.00
loop_
_atom_site_label
_atom_site_type_symbol
_atom_site_fract_x
_atom_site_fract_y
_atom_site_fract_z
Li1 Li 0.2230 0.0000 0.1115
Li2 Li 0.2231 0.0000 0.6114
Mn1 Mn 0.0000 0.5000 0.2464
O1 O 0.1461 0.0000 0.3231
O2 O 0.1462 0.0000 0.8229
```